[1]
Diffraction record for Li8Zn5Ga. The powder diffraction line list is calculated, not measured: it uses a cell relaxed with GGA-PBE and Cu Kα, 1.54184 Å.

Crystal structure
abc: 6.7302 6.7302 6.7302
angles: 110.89 110.89 106.67
Element x y z (fractional)
Li 0.1054 0.6852 0.7891
Li 0.1678 0.2694 0.7655
Li 0.3148 0.1039 0.4202
Li 0.5039 0.4023 0.2345
Li 0.5977 0.8322 0.1016
Li 0.6837 0.8946 0.5798
Li 0.7306 0.4961 0.8984
Li 0.8961 0.3163 0.2109
Zn 0.2238 0.6391 0.1976
Zn 0.3609 0.5586 0.5848
Zn 0.4414 0.0262 0.8024
Zn 0.7500 0.2500 0.5000
Zn 0.9738 0.7762 0.4152
Ga 0.0000 0.0000 0.0000

Main lines, sorted by position (2θ from 10° to 80°):
d = 5.536 Å, rel. 28; d = 3.224 Å, rel. 67; d = 3.143 Å, rel. 100; d = 2.528 Å, rel. 20; d = 2.426 Å, rel. 40; d = 2.414 Å, rel. 30; d = 2.108 Å, rel. 40; d = 2.070 Å, rel. 18; d = 2.048 Å, rel. 18; d = 1.707 Å, rel. 19



[2]
Diffraction record for Li7Zn2Ga. The powder diffraction line list is calculated, not measured: it uses a cell relaxed with GGA-PBE and Cu Kα, 1.54184 Å.

Crystal structure
abc: 4.3873 4.3873 10.5222
angles: 90.00 90.00 120.00
Element x y z (fractional)
Li 0.0000 0.0000 0.0000
Li 0.0000 0.0000 0.2302
Li 0.0000 0.0000 0.7316
Li 0.3333 0.6667 0.4406
Li 0.3333 0.6667 0.8873
Li 0.6667 0.3333 0.3146
Li 0.6667 0.3333 0.6047
Zn 0.0000 0.0000 0.4813
Zn 0.3333 0.6667 0.1414
Ga 0.6667 0.3333 0.0570

Main lines, sorted by position (2θ from 10° to 80°):
d = 5.261 Å, rel. 55; d = 3.574 Å, rel. 100; d = 3.507 Å, rel. 21; d = 3.080 Å, rel. 42; d = 2.577 Å, rel. 32; d = 2.194 Å, rel. 52; d = 2.163 Å, rel. 47; d = 2.025 Å, rel. 27; d = 1.870 Å, rel. 16; d = 1.860 Å, rel. 21



[3]
Diffraction record for Li4ZnGa. The powder diffraction line list is calculated, not measured: it uses a cell relaxed with GGA-PBE and Cu Kα, 1.54184 Å.

Crystal structure
abc: 7.1869 7.1869 6.1666
angles: 90.00 90.00 144.23
Element x y z (fractional)
Li 0.0092 0.9908 0.5000
Li 0.1759 0.8241 0.2578
Li 0.3251 0.6749 0.5192
Li 0.4845 0.5155 0.2601
Li 0.5155 0.4845 0.7601
Li 0.6749 0.3251 0.0192
Li 0.8241 0.1759 0.7578
Li 0.9908 0.0092 0.0000
Zn 0.3331 0.6669 0.0027
Zn 0.6669 0.3331 0.5027
Ga 0.1620 0.8380 0.7614
Ga 0.8380 0.1620 0.2614

Main lines, sorted by position (2θ from 10° to 80°):
d = 6.840 Å, rel. 52; d = 4.580 Å, rel. 69; d = 3.472 Å, rel. 71; d = 2.991 Å, rel. 19; d = 2.486 Å, rel. 20; d = 2.280 Å, rel. 21; d = 2.210 Å, rel. 100; d = 2.176 Å, rel. 24; d = 1.988 Å, rel. 15; d = 1.586 Å, rel. 13



[4]
Diffraction record for Li8Zn6Ga. The powder diffraction line list is calculated, not measured: it uses a cell relaxed with GGA-PBE and Cu Kα, 1.54184 Å.

Crystal structure
abc: 7.0081 7.0081 7.0081
angles: 58.11 58.11 58.11
Element x y z (fractional)
Li 0.0852 0.0852 0.0852
Li 0.1627 0.6341 0.3224
Li 0.3224 0.1627 0.6341
Li 0.3659 0.6776 0.8373
Li 0.6341 0.3224 0.1627
Li 0.6776 0.8373 0.3659
Li 0.8373 0.3659 0.6776
Li 0.9148 0.9148 0.9148
Zn 0.0163 0.5576 0.7830
Zn 0.2170 0.9837 0.4424
Zn 0.4424 0.2170 0.9837
Zn 0.5576 0.7830 0.0163
Zn 0.7830 0.0163 0.5576
Zn 0.9837 0.4424 0.2170
Ga 0.5000 0.5000 0.5000

Main lines, sorted by position (2θ from 10° to 80°):
d = 5.803 Å, rel. 100; d = 3.501 Å, rel. 26; d = 2.936 Å, rel. 38; d = 2.792 Å, rel. 17; d = 2.291 Å, rel. 21; d = 2.209 Å, rel. 95; d = 2.158 Å, rel. 35; d = 1.983 Å, rel. 20; d = 1.877 Å, rel. 22; d = 1.557 Å, rel. 16



[5]
Diffraction record for LiZn3Ga3. The powder diffraction line list is calculated, not measured: it uses a cell relaxed with GGA-PBE and Cu Kα, 1.54184 Å.

Crystal structure
abc: 7.3068 4.0512 8.7808
angles: 90.00 114.34 90.00
Element x y z (fractional)
Li 0.1953 0.2500 0.2756
Li 0.8047 0.7500 0.7244
Zn 0.2352 0.7500 0.7624
Zn 0.3720 0.2500 0.0084
Zn 0.4894 0.2500 0.7474
Zn 0.5106 0.7500 0.2526
Zn 0.6280 0.7500 0.9916
Zn 0.7648 0.2500 0.2376
Ga 0.0006 0.7500 0.3948
Ga 0.1288 0.7500 0.0266
Ga 0.3910 0.7500 0.5135
Ga 0.6090 0.2500 0.4865
Ga 0.8712 0.2500 0.9734
Ga 0.9994 0.2500 0.6052

Main lines, sorted by position (2θ from 10° to 80°):
d = 6.643 Å, rel. 27; d = 3.461 Å, rel. 25; d = 2.927 Å, rel. 18; d = 2.569 Å, rel. 19; d = 2.373 Å, rel. 53; d = 2.249 Å, rel. 100; d = 2.242 Å, rel. 48; d = 2.069 Å, rel. 26; d = 2.026 Å, rel. 43; d = 1.208 Å, rel. 19



[6]
Diffraction record for Li4Zn2Ga. The powder diffraction line list is calculated, not measured: it uses a cell relaxed with GGA-PBE and Cu Kα, 1.54184 Å.

Crystal structure
abc: 5.4868 5.4868 5.4868
angles: 121.64 93.27 114.74
Element x y z (fractional)
Li 0.2107 0.2434 0.4541
Li 0.2107 0.7566 0.9672
Li 0.7893 0.2434 0.0328
Li 0.7893 0.7566 0.5459
Zn 0.6760 0.6760 0.0000
Zn 0.7163 0.2163 0.5000
Ga 0.2906 0.7906 0.5000

Main lines, sorted by position (2θ from 10° to 80°):
d = 4.654 Å, rel. 65; d = 4.362 Å, rel. 39; d = 3.768 Å, rel. 100; d = 2.959 Å, rel. 35; d = 2.675 Å, rel. 40; d = 2.449 Å, rel. 38; d = 2.327 Å, rel. 54; d = 2.181 Å, rel. 63; d = 1.984 Å, rel. 34; d = 1.756 Å, rel. 30



[7]
Diffraction record for Li3Zn4Ga2. The powder diffraction line list is calculated, not measured: it uses a cell relaxed with GGA-PBE and Cu Kα, 1.54184 Å.

Crystal structure
abc: 7.6236 7.6236 5.6378
angles: 90.00 90.00 120.05
Element x y z (fractional)
Li 0.0000 0.0000 0.2500
Li 0.0000 0.0000 0.7500
Li 0.3332 0.6668 0.2500
Li 0.3332 0.6668 0.7500
Li 0.6668 0.3332 0.2500
Li 0.6668 0.3332 0.7500
Zn 0.0024 0.3364 0.0000
Zn 0.3331 0.3353 0.0000
Zn 0.3353 0.3331 0.5000
Zn 0.3364 0.0024 0.5000
Zn 0.6636 0.9976 0.5000
Zn 0.6647 0.6669 0.5000
Zn 0.6669 0.6647 0.0000
Zn 0.9976 0.6636 0.0000
Ga 0.0009 0.6700 0.5000
Ga 0.3300 0.9991 0.0000
Ga 0.6700 0.0009 0.0000
Ga 0.9991 0.3300 0.5000

Main lines, sorted by position (2θ from 10° to 80°):
d = 3.811 Å, rel. 89; d = 2.819 Å, rel. 59; d = 2.266 Å, rel. 59; d = 2.200 Å, rel. 100; d = 1.905 Å, rel. 13; d = 1.734 Å, rel. 81; d = 1.579 Å, rel. 18; d = 1.440 Å, rel. 10; d = 1.283 Å, rel. 17; d = 1.270 Å, rel. 16



[8]
Diffraction record for LiZn3Ga. The powder diffraction line list is calculated, not measured: it uses a cell relaxed with GGA-PBE and Cu Kα, 1.54184 Å.

Crystal structure
abc: 6.4721 6.4721 5.8932
angles: 90.00 90.00 140.60
Element x y z (fractional)
Li 0.1151 0.8849 0.7500
Li 0.8849 0.1151 0.2500
Zn 0.1263 0.8737 0.2500
Zn 0.3108 0.6892 0.0079
Zn 0.3108 0.6892 0.4921
Zn 0.6892 0.3108 0.5079
Zn 0.6892 0.3108 0.9921
Zn 0.8737 0.1263 0.7500
Ga 0.4942 0.5058 0.7500
Ga 0.5058 0.4942 0.2500

Main lines, sorted by position (2θ from 10° to 80°):
d = 4.236 Å, rel. 22; d = 4.108 Å, rel. 25; d = 3.370 Å, rel. 15; d = 2.653 Å, rel. 50; d = 2.182 Å, rel. 37; d = 2.128 Å, rel. 54; d = 2.093 Å, rel. 100; d = 1.685 Å, rel. 23; d = 1.242 Å, rel. 17; d = 1.211 Å, rel. 15



Copy entry 8 word for word.
Diffraction record for LiZn3Ga. The powder diffraction line list is calculated, not measured: it uses a cell relaxed with GGA-PBE and Cu Kα, 1.54184 Å.

Crystal structure
abc: 6.4721 6.4721 5.8932
angles: 90.00 90.00 140.60
Element x y z (fractional)
Li 0.1151 0.8849 0.7500
Li 0.8849 0.1151 0.2500
Zn 0.1263 0.8737 0.2500
Zn 0.3108 0.6892 0.0079
Zn 0.3108 0.6892 0.4921
Zn 0.6892 0.3108 0.5079
Zn 0.6892 0.3108 0.9921
Zn 0.8737 0.1263 0.7500
Ga 0.4942 0.5058 0.7500
Ga 0.5058 0.4942 0.2500

Main lines, sorted by position (2θ from 10° to 80°):
d = 4.236 Å, rel. 22; d = 4.108 Å, rel. 25; d = 3.370 Å, rel. 15; d = 2.653 Å, rel. 50; d = 2.182 Å, rel. 37; d = 2.128 Å, rel. 54; d = 2.093 Å, rel. 100; d = 1.685 Å, rel. 23; d = 1.242 Å, rel. 17; d = 1.211 Å, rel. 15